Record 1
Starting from a DFT-relaxed cell (PBE, the Materials Project), the X-ray powder pattern of CaIn2Te4 was calculated for Cu Kα, 1.54184 Å.
Peak positions follow from Bragg's law for the DFT cell and can differ from measured ones.

Main lines, by angle (2θ from 5° to 70°):
- (1 1 0), 2θ 15.12, I 56
- (2 1 1), 2θ 27.13, I 86
- (2 2 0), 2θ 30.52, I 45
- (2 0 2), 2θ 33.18, I 100
- (3 1 2), 2θ 42.86, I 31
- (2 1 3), 2θ 45.38, I 21
- (3 3 0), 2θ 46.51, I 17
- (4 1 1), 2θ 46.99, I 39
- (4 1 3), 2θ 60.36, I 19
- (2 2 4), 2θ 60.90, I 12

Structural model:
Cell lengths 8.285, 8.285, 7.120 Å; angles 90.00, 90.00, 90.00 degrees
Space group I422 (No. 97)
Symmetry-distinct sites (fractional):
1 Ca 0.000 0.000 0.000
2 In 0.000 0.500 0.000
3 Te 0.189 0.311 0.250



Record 2
Starting from a DFT-relaxed cell (PBE, the Materials Project), the X-ray powder pattern of BaLaI5 was calculated for Cu Kα, 1.54184 Å.
Peak positions follow from Bragg's law for the DFT cell and can differ from measured ones.

Main lines, by angle (2θ from 5° to 70°):
- (1 2 0), 2θ 25.72, I 42
- (0 1 3), 2θ 26.31, I 39
- (0 2 -2), 2θ 27.39, I 30
- (2 0 2), 2θ 28.82, I 46
- (-1 2 1), 2θ 29.61, I 100
- (0 0 4), 2θ 31.94, I 26
- (-2 1 1), 2θ 34.58, I 23
- (1 -1 5), 2θ 40.68, I 23
- (3 2 3), 2θ 48.34, I 23
- (2 4 1), 2θ 52.16, I 23

Structural model:
Cell lengths 6.461, 8.013, 11.659 Å; angles 89.07, 74.16, 86.08 degrees
Space group P1 (No. 1)
Symmetry-distinct sites (fractional):
1 Ba 0.000 0.000 0.000
2 Ba 0.338 0.498 0.304
3 La 0.589 0.494 0.809
4 La 0.746 0.992 0.495
5 I 0.040 0.492 0.913
6 I 0.297 0.988 0.392
7 I 0.386 0.846 0.722
8 I 0.453 0.343 0.583
9 I 0.473 0.238 0.038
10 I 0.483 0.751 0.036
11 I 0.858 0.740 0.264
12 I 0.861 0.252 0.269
13 I 0.880 0.142 0.722
14 I 0.949 0.640 0.582



Record 3
Starting from a DFT-relaxed cell (PBE, the Materials Project), the X-ray powder pattern of SrMg14TiO16 was calculated for Cu Kα, 1.54184 Å.
Peak positions follow from Bragg's law for the DFT cell and can differ from measured ones.

Main lines, by angle (2θ from 5° to 70°):
- (1 1 0), 2θ 14.41, I 12
- (2 0 0), 2θ 20.43, I 9
- (1 1 1), 2θ 24.89, I 10
- (2 0 1), 2θ 28.88, I 7
- (3 1 0), 2θ 32.57, I 7
- (2 2 1), 2θ 35.64, I 30
- (0 0 2), 2θ 41.03, I 53
- (4 0 0), 2θ 41.55, I 100
- (4 0 2), 2θ 59.82, I 59
- (4 4 0), 2θ 60.22, I 28

Structural model:
Cell lengths 8.693, 8.693, 4.399 Å; angles 90.00, 90.00, 90.00 degrees
Space group P4/mmm (No. 123)
Symmetry-distinct sites (fractional):
1 Sr 0.000 0.000 0.000
2 Mg 0.000 0.259 0.500
3 Mg 0.000 0.500 0.000
4 Mg 0.249 0.500 0.500
5 Mg 0.254 0.254 0.000
6 Ti 0.500 0.500 0.000
7 O 0.000 0.000 0.500
8 O 0.000 0.271 0.000
9 O 0.000 0.500 0.500
10 O 0.250 0.250 0.500
11 O 0.250 0.500 0.000
12 O 0.500 0.500 0.500



Record 4
Starting from a DFT-relaxed cell (PBE, the Materials Project), the X-ray powder pattern of Pr2Ni2I was calculated for Cu Kα, 1.54184 Å.
Peak positions follow from Bragg's law for the DFT cell and can differ from measured ones.

Main lines, by angle (2θ from 5° to 70°):
- (0 0 2), 2θ 10.09, I 10
- (1 0 0), 2θ 25.14, I 16
- (1 0 1), 2θ 25.66, I 15
- (1 0 3), 2θ 29.49, I 11
- (1 0 4), 2θ 32.50, I 100
- (1 0 6), 2θ 39.99, I 14
- (0 0 8), 2θ 41.18, I 10
- (1 1 0), 2θ 44.30, I 46
- (2 0 4), 2θ 56.00, I 21
- (1 1 8), 2θ 62.07, I 18

Structural model:
Cell lengths 4.0897, 4.0897, 17.5374 Å; angles 90.00, 90.00, 120.00 degrees
Space group P6_3/mmc (No. 194)
Symmetry-distinct sites (fractional):
1 Pr 0.0000 0.0000 0.1057
2 Ni 0.3333 0.6667 0.0007
3 I 0.3333 0.6667 0.7500



Record 5
Starting from a DFT-relaxed cell (PBE, the Materials Project), the X-ray powder pattern of Pa3Si was calculated for Cu Kα, 1.54184 Å.
Peak positions follow from Bragg's law for the DFT cell and can differ from measured ones.

Main lines, by angle (2θ from 5° to 70°):
- (1 0 0), 2θ 19.96, I 23
- (1 1 0), 2θ 28.38, I 20
- (1 1 1), 2θ 34.94, I 100
- (2 0 0), 2θ 40.57, I 50
- (2 1 0), 2θ 45.61, I 11
- (2 1 1), 2θ 50.25, I 9
- (2 2 0), 2θ 58.72, I 35
- (3 0 0), 2θ 62.67, I 6
- (3 1 0), 2θ 66.48, I 4

Structural model:
Cell lengths 4.447, 4.447, 4.447 Å; angles 90.00, 90.00, 90.00 degrees
Space group Pm-3m (No. 221)
Symmetry-distinct sites (fractional):
1 Pa 0.000 0.000 0.500
2 Si 0.500 0.500 0.500



Record 6
Starting from a DFT-relaxed cell (PBE, the Materials Project), the X-ray powder pattern of NaTh2P3O12 was calculated for Cu Kα, 1.54184 Å.
Peak positions follow from Bragg's law for the DFT cell and can differ from measured ones.

Main lines, by angle (2θ from 5° to 70°):
- (2 0 0), 2θ 10.24, I 61
- (1 1 0), 2θ 13.89, I 100
- (1 1 -1), 2θ 17.09, I 49
- (1 1 1), 2θ 18.32, I 41
- (3 1 0), 2θ 20.13, I 62
- (4 0 -2), 2θ 27.16, I 64
- (3 1 -2), 2θ 27.65, I 44
- (2 2 -1), 2θ 29.38, I 98
- (6 0 0), 2θ 31.05, I 42
- (3 1 2), 2θ 32.17, I 53

Structural model:
Cell lengths 17.612, 6.861, 8.235 Å; angles 90.00, 101.09, 90.00 degrees
Space group C2/c (No. 15)
Symmetry-distinct sites (fractional):
1 Na 0.000 0.103 0.250
2 Th 0.153 0.405 0.036
3 P 0.000 0.401 0.750
4 P 0.190 0.090 0.687
5 O 0.025 0.277 0.908
6 O 0.072 0.464 0.248
7 O 0.138 0.092 0.159
8 O 0.154 0.259 0.577
9 O 0.203 0.149 0.876
10 O 0.225 0.450 0.331